Record 1
Simulated PXRD pattern of Mo8C3S2N3 for Cu Kα, 1.54184 Å, from a crystal structure in OQMD, relaxed with PBE.
Neutral-atom scattering factors, no anomalous dispersion.

a b c (Å): 3.1491 3.1491 21.7618
angles (deg): 90.00 90.00 120.00
Sites, in units of the cell vectors:
Mo1 0.0000 0.0000 0.1616
Mo2 0.0000 0.0000 0.3339
Mo3 0.0000 0.0000 0.6661
Mo4 0.0000 0.0000 0.8384
Mo5 0.3333 0.6667 0.0601
Mo6 0.3333 0.6667 0.4513
Mo7 0.6667 0.3333 0.5487
Mo8 0.6667 0.3333 0.9399
C1 0.0000 0.0000 0.0000
C2 0.3333 0.6667 0.8814
C3 0.6667 0.3333 0.1186
S1 0.3333 0.6667 0.2571
S2 0.6667 0.3333 0.7429
N1 0.0000 0.0000 0.5000
N2 0.3333 0.6667 0.6070
N3 0.6667 0.3333 0.3930

Main lines, by angle (2θ from 15° to 90°):
| Position (°2θ) | I_rel |
| --- | --- |
| 32.89 | 19.2 |
| 33.89 | 39.8 |
| 36.87 | 23.9 |
| 38.97 | 53.8 |
| 41.44 | 100.0 |
| 58.63 | 39.7 |
| 61.40 | 19.7 |
| 74.34 | 32.3 |

---

Record 2
Simulated PXRD pattern of Tb2H5 for Cu Kα, 1.54184 Å, from a crystal structure in OQMD, relaxed with PBE.
Neutral-atom scattering factors, no anomalous dispersion.

a b c (Å): 6.3524 6.3524 6.3524
angles (deg): 132.27 132.27 69.81
Sites, in units of the cell vectors:
Tb1 0.1224 0.3724 0.7500
Tb2 0.3724 0.1224 0.2500
Tb3 0.6276 0.8776 0.7500
Tb4 0.8776 0.6276 0.2500
H1 0.0000 0.2674 0.2674
H2 0.0000 0.7326 0.7326
H3 0.1250 0.8750 0.2500
H4 0.2674 0.0000 0.7674
H5 0.2674 0.5000 0.2674
H6 0.5000 0.2674 0.7674
H7 0.5000 0.7326 0.2326
H8 0.7326 0.0000 0.2326
H9 0.7326 0.5000 0.7326
H10 0.8750 0.1250 0.7500

Main lines, by angle (2θ from 15° to 90°):
| Position (°2θ) | I_rel |
| --- | --- |
| 29.98 | 100.0 |
| 34.43 | 17.0 |
| 34.91 | 32.9 |
| 49.84 | 25.5 |
| 50.20 | 12.5 |
| 58.94 | 14.8 |
| 59.58 | 28.9 |
| 62.29 | 12.5 |

---

Record 3
Simulated PXRD pattern of GaCuI2Br2 for Cu Kα, 1.54184 Å, from a crystal structure in OQMD, relaxed with PBE.
Neutral-atom scattering factors, no anomalous dispersion.

a b c (Å): 7.0680 7.0680 6.0342
angles (deg): 115.19 115.19 104.73
Sites, in units of the cell vectors:
Ga1 0.0000 0.0000 0.0000
Cu1 0.7553 0.2447 0.5000
I1 0.3753 0.1157 0.4958
I2 0.8843 0.6247 0.5042
Br1 0.0975 0.3431 0.9844
Br2 0.6569 0.9025 0.0156

Main lines, by angle (2θ from 15° to 90°):
| Position (°2θ) | I_rel |
| --- | --- |
| 16.36 | 14.3 |
| 26.05 | 100.0 |
| 41.75 | 11.2 |
| 43.60 | 19.2 |
| 44.14 | 19.1 |
| 49.44 | 15.1 |
| 50.41 | 15.5 |
| 53.50 | 15.7 |

---

Record 4
Simulated PXRD pattern of ScTaBi2Ir2 for Cu Kα, 1.54184 Å, from a crystal structure in OQMD, relaxed with PBE.
Neutral-atom scattering factors, no anomalous dispersion.

a b c (Å): 4.5264 9.0480 6.3963
angles (deg): 90.00 90.00 90.00
Sites, in units of the cell vectors:
Sc1 0.0000 0.1250 0.0000
Sc2 0.5000 0.8750 0.5000
Ta1 0.0000 0.6222 0.0203
Ta2 0.5000 0.3778 0.5203
Bi1 0.0000 0.1183 0.4963
Bi2 0.0000 0.6336 0.5276
Bi3 0.5000 0.3664 0.0276
Bi4 0.5000 0.8817 0.9963
Ir1 0.0000 0.3881 0.2804
Ir2 0.0000 0.8600 0.2418
Ir3 0.5000 0.1400 0.7418
Ir4 0.5000 0.6119 0.7804

Main lines, by angle (2θ from 15° to 90°):
| Position (°2θ) | I_rel |
| --- | --- |
| 24.09 | 42.9 |
| 27.89 | 9.0 |
| 39.85 | 100.0 |
| 47.11 | 20.6 |
| 57.62 | 16.4 |
| 63.36 | 8.0 |
| 72.35 | 32.2 |
| 85.93 | 10.1 |